For KDyYCu2, DFT lattice parameters and positions (PBE) gives the computed powder diffraction line list in this record (copper Kα).
No peak broadening, texture or thermal motion is included.

Largest 8 diffraction maxima, sorted by position, 10 to 90 degrees two-theta:
- 10.28°, rel. 100.0
- 25.75°, rel. 19.5
- 31.19°, rel. 15.1
- 31.73°, rel. 15.9
- 32.05°, rel. 27.0
- 35.37°, rel. 45.9
- 41.31°, rel. 31.6
- 41.65°, rel. 13.7

abc: 3.734 8.872 8.872
angles: 28.30 90.00 90.00
Element x y z (fractional)
1 K 0.000 0.000 0.000
2 Dy 0.500 0.331 0.331
3 Y 0.500 0.669 0.669
4 Cu 0.000 0.207 0.207
5 Cu 0.000 0.795 0.795

For La2DyCu4Sn4, DFT lattice parameters and positions (PBE) gives the computed powder diffraction line list in this record (copper Kα).
No peak broadening, texture or thermal motion is included.

Largest 8 diffraction maxima, sorted by position, 10 to 90 degrees two-theta:
- 32.32°, rel. 28.5
- 32.87°, rel. 100.0
- 33.21°, rel. 93.8
- 35.63°, rel. 21.1
- 38.82°, rel. 46.5
- 43.21°, rel. 20.8
- 44.35°, rel. 28.4
- 64.89°, rel. 16.3

abc: 8.628 8.628 8.628
angles: 148.80 132.82 57.65
Element x y z (fractional)
1 La 0.133 0.133 0.000
2 La 0.867 0.867 0.000
3 Dy 0.500 0.000 0.500
4 Cu 0.146 0.331 0.815
5 Cu 0.484 0.669 0.815
6 Cu 0.516 0.331 0.185
7 Cu 0.854 0.669 0.185
8 Sn 0.208 0.500 0.708
9 Sn 0.286 0.786 0.500
10 Sn 0.714 0.214 0.500
11 Sn 0.792 0.500 0.292

For Dy2LuCu4Si4, DFT lattice parameters and positions (PBE) gives the computed powder diffraction line list in this record (copper Kα).
No peak broadening, texture or thermal motion is included.

Largest 8 diffraction maxima, sorted by position, 10 to 90 degrees two-theta:
- 22.54°, rel. 17.8
- 23.94°, rel. 23.0
- 28.83°, rel. 20.1
- 35.83°, rel. 100.0
- 36.96°, rel. 81.1
- 43.94°, rel. 27.4
- 46.53°, rel. 27.7
- 65.92°, rel. 19.0

abc: 7.814 7.814 7.814
angles: 149.42 130.95 58.91
Element x y z (fractional)
1 Dy 0.129 0.129 0.000
2 Dy 0.871 0.871 0.000
3 Lu 0.500 0.000 0.500
4 Cu 0.140 0.331 0.809
5 Cu 0.478 0.669 0.809
6 Cu 0.522 0.331 0.191
7 Cu 0.860 0.669 0.191
8 Si 0.188 0.500 0.688
9 Si 0.285 0.785 0.500
10 Si 0.715 0.215 0.500
11 Si 0.812 0.500 0.312

For DyTm2Lu4Cu2Te2, DFT lattice parameters and positions (PBE) gives the computed powder diffraction line list in this record (copper Kα).
No peak broadening, texture or thermal motion is included.

Largest 8 diffraction maxima, sorted by position, 10 to 90 degrees two-theta:
- 28.88°, rel. 39.4
- 30.22°, rel. 64.9
- 33.48°, rel. 74.6
- 34.25°, rel. 100.0
- 34.63°, rel. 56.0
- 46.43°, rel. 31.1
- 51.90°, rel. 32.4
- 58.45°, rel. 30.6

abc: 9.159 9.159 9.159
angles: 155.34 67.95 117.82
Element x y z (fractional)
1 Dy 0.000 0.000 0.000
2 Tm 0.452 0.584 0.868
3 Tm 0.715 0.584 0.132
4 Lu 0.064 0.378 0.685
5 Lu 0.090 0.735 0.355
6 Lu 0.380 0.735 0.645
7 Lu 0.693 0.378 0.315
8 Cu 0.307 0.072 0.235
9 Cu 0.837 0.072 0.765
10 Te 0.338 0.338 0.000
11 Te 0.734 0.234 0.500

For DyCu2Mo4, DFT lattice parameters and positions (PBE) gives the computed powder diffraction line list in this record (copper Kα).
No peak broadening, texture or thermal motion is included.

Largest 8 diffraction maxima, sorted by position, 10 to 90 degrees two-theta:
- 33.57°, rel. 17.2
- 34.74°, rel. 22.9
- 39.99°, rel. 100.0
- 47.11°, rel. 35.2
- 59.08°, rel. 13.1
- 67.41°, rel. 13.3
- 67.85°, rel. 13.5
- 82.68°, rel. 23.3

abc: 3.858 3.858 8.010
angles: 90.00 90.00 90.00
Element x y z (fractional)
1 Dy 0.000 0.000 0.000
2 Cu 0.000 0.000 0.500
3 Cu 0.500 0.500 0.000
4 Mo 0.000 0.500 0.288
5 Mo 0.000 0.500 0.712
6 Mo 0.500 0.000 0.288
7 Mo 0.500 0.000 0.712

For PrDyCu2N4, DFT lattice parameters and positions (PBE) gives the computed powder diffraction line list in this record (copper Kα).
No peak broadening, texture or thermal motion is included.

Largest 8 diffraction maxima, sorted by position, 10 to 90 degrees two-theta:
- 28.02°, rel. 100.0
- 31.93°, rel. 29.5
- 33.66°, rel. 40.3
- 38.52°, rel. 23.8
- 42.95°, rel. 82.6
- 50.90°, rel. 26.4
- 53.25°, rel. 28.4
- 61.24°, rel. 23.4

abc: 3.441 3.441 8.410
angles: 90.00 90.00 90.00
Element x y z (fractional)
1 Pr 0.000 0.000 0.000
2 Dy 0.500 0.500 0.605
3 Cu 0.000 0.500 0.307
4 Cu 0.500 0.000 0.307
5 N 0.000 0.000 0.455
6 N 0.000 0.500 0.790
7 N 0.500 0.000 0.790
8 N 0.500 0.500 0.152